Entry 1:
Structure and simulated powder diffractogram of AcTaGe3 (a PBE-relaxed structure; Cu Kα).

Top 6 peaks for 10 to 90 degrees two-theta, by angle:
| index | 2θ/deg | I/Imax |
| --- | --- | --- |
| 1 1 0 | 27.4 | 92 |
| 1 0 2 | 34.1 | 78 |
| 2 0 1 | 35.2 | 100 |
| 2 0 2 | 44.3 | 64 |
| 2 1 1 | 45.2 | 28 |
| 2 2 0 | 56.5 | 29 |

Structural model:
a b c (Å): 6.5100 6.5100 5.9475
angles (deg): 90.00 90.00 120.00
Space group P6_3/mmc (No. 194)
Inequivalent atoms, fractional coordinates:
Ac (0.3333, 0.6667, 0.2500)
Ta (0.0000, 0.0000, 0.0000)
Ge (0.1982, 0.3964, 0.7500)

---

Entry 2:
Structure and simulated powder diffractogram of AcTcGe4 (a PBE-relaxed structure; Cu Kα).

Top 6 peaks for 10 to 90 degrees two-theta, by angle:
| index | 2θ/deg | I/Imax |
| --- | --- | --- |
| 2 0 -2 | 28.3 | 26 |
| 4 0 0 | 30.9 | 100 |
| 2 2 -1 | 33.5 | 74 |
| 2 2 1 | 34.9 | 27 |
| 1 1 -3 | 41.2 | 30 |
| 3 3 1 | 50.9 | 24 |

Structural model:
a b c (Å): 11.6525 6.4895 7.0137
angles (deg): 90.00 96.83 90.00
Space group C2/c (No. 15)
Inequivalent atoms, fractional coordinates:
Ac (0.0000, 0.1025, 0.2500)
Tc (0.2500, 0.2500, 0.0000)
Ge (0.0590, 0.3927, 0.9043)
Ge (0.2468, 0.1137, 0.6498)

---

Entry 3:
Structure and simulated powder diffractogram of Ac6GeTe12 (a PBE-relaxed structure; Cu Kα).

Top 6 peaks for 10 to 90 degrees two-theta, by angle:
| index | 2θ/deg | I/Imax |
| --- | --- | --- |
| 3 -1 1 | 20.5 | 100 |
| 4 -3 1 | 27.5 | 48 |
| 4 -1 2 | 29.7 | 54 |
| 3 -1 4 | 32.7 | 73 |
| 4 1 0 | 34.1 | 62 |
| 9 -5 2 | 61.5 | 53 |

Structural model:
a b c (Å): 13.9242 13.9242 13.6885
angles (deg): 90.00 90.00 120.00
Space group R-3 (No. 148, hexagonal axes)
Inequivalent atoms, fractional coordinates:
Ac (0.0479, 0.7672, 0.1328)
Ge (0.0000, 0.0000, 0.5000)
Te (0.0345, 0.8230, 0.8978)
Te (0.0837, 0.8738, 0.3771)

---

Entry 4:
Structure and simulated powder diffractogram of Ac3GeTe6 (a PBE-relaxed structure; Cu Kα).

Top 6 peaks for 10 to 90 degrees two-theta, by angle:
| index | 2θ/deg | I/Imax |
| --- | --- | --- |
| 2 2 1 | 21.1 | 100 |
| 1 3 1 | 21.4 | 52 |
| 3 3 1 | 29.1 | 95 |
| 3 1 2 | 31.5 | 100 |
| 0 4 2 | 32.0 | 74 |
| 3 5 0 | 35.1 | 76 |

Structural model:
a b c (Å): 12.8415 15.9489 7.8347
angles (deg): 90.00 90.00 90.00
Space group Cmc2_1 (No. 36)
Inequivalent atoms, fractional coordinates:
Ac (0.0000, 0.1020, 0.0000)
Ac (0.1827, 0.4011, 0.9093)
Ge (0.0000, 0.3044, 0.3627)
Te (0.0000, 0.2800, 0.7223)
Te (0.0000, 0.4651, 0.2162)
Te (0.1607, 0.0291, 0.7043)
Te (0.1676, 0.2389, 0.1949)

---

Entry 5:
Structure and simulated powder diffractogram of AcTh4Ge4 (a PBE-relaxed structure; Cu Kα).

Top 6 peaks for 10 to 90 degrees two-theta, by angle:
| index | 2θ/deg | I/Imax |
| --- | --- | --- |
| 1 2 1 | 25.3 | 92 |
| 3 1 0 | 29.1 | 100 |
| 0 0 2 | 29.6 | 48 |
| 2 4 0 | 41.6 | 38 |
| 3 1 2 | 42.0 | 75 |
| 2 4 2 | 51.9 | 41 |

Structural model:
a b c (Å): 9.7159 9.7159 6.0306
angles (deg): 90.00 90.00 90.00
Space group I4/m (No. 87)
Inequivalent atoms, fractional coordinates:
Ac (0.0000, 0.0000, 0.0000)
Th (0.1059, 0.6927, 0.5000)
Ge (0.1040, 0.6920, 0.0000)

---

Entry 6:
Structure and simulated powder diffractogram of AcTh2Ge (a PBE-relaxed structure; Cu Kα).

Top 6 peaks for 10 to 90 degrees two-theta, by angle:
| index | 2θ/deg | I/Imax |
| --- | --- | --- |
| 1 1 1 | 31.4 | 100 |
| 0 0 2 | 36.3 | 17 |
| 2 0 0 | 36.5 | 34 |
| 2 0 2 | 52.4 | 24 |
| 1 1 3 | 62.2 | 15 |
| 3 1 1 | 62.6 | 29 |

Structural model:
a b c (Å): 4.9196 4.9196 4.9556
angles (deg): 90.00 90.00 90.00
Space group P4/mmm (No. 123)
Inequivalent atoms, fractional coordinates:
Ac (0.0000, 0.0000, 0.0000)
Th (0.0000, 0.5000, 0.5000)
Ge (0.5000, 0.5000, 0.0000)

---

Entry 7:
Structure and simulated powder diffractogram of Ac3ThGe6 (a PBE-relaxed structure; Cu Kα).

Top 6 peaks for 10 to 90 degrees two-theta, by angle:
| index | 2θ/deg | I/Imax |
| --- | --- | --- |
| 0 1 2 | 16.7 | 30 |
| 1 1 3 | 26.3 | 61 |
| 1 3 1 | 30.8 | 100 |
| 3 1 2 | 33.4 | 97 |
| 0 2 4 | 33.9 | 80 |
| 1 5 2 | 49.3 | 45 |

Structural model:
a b c (Å): 12.4645 12.4645 12.1496
angles (deg): 90.00 90.00 120.00
Space group R-3c (No. 167, hexagonal axes)
Inequivalent atoms, fractional coordinates:
Ac (0.0000, 0.4342, 0.2500)
Th (0.0000, 0.0000, 0.0000)
Ge (0.0732, 0.2189, 0.3376)

---

Entry 8:
Structure and simulated powder diffractogram of Ac5TiGe4 (a PBE-relaxed structure; Cu Kα).

Top 6 peaks for 10 to 90 degrees two-theta, by angle:
| index | 2θ/deg | I/Imax |
| --- | --- | --- |
| 3 1 0 | 25.3 | 54 |
| 2 0 2 | 26.2 | 27 |
| 6 0 0 | 29.2 | 50 |
| 1 1 -2 | 29.8 | 100 |
| 7 1 -2 | 41.8 | 36 |
| 5 1 2 | 42.7 | 35 |

Structural model:
a b c (Å): 18.9196 4.3148 8.3512
angles (deg): 90.00 104.42 90.00
Space group C2/m (No. 12)
Inequivalent atoms, fractional coordinates:
Ac (0.0000, 0.0000, 0.0000)
Ac (0.1612, 0.5000, 0.8441)
Ac (0.1753, 0.5000, 0.3262)
Ti (0.0000, 0.0000, 0.5000)
Ge (0.0054, 0.5000, 0.3009)
Ge (0.1482, 0.0000, 0.5733)

---

Question: Number 3 is which compound?
Answer: Ac6GeTe12